Entry 1:
Simulated powder diffractogram
Compound: FeTc2Ag
Radiation: λ = 1.5418 Å (Cu Kα)
Structure: a DFT-relaxed cell (PBE, Alexandria)
Intensities are scaled so that the largest is 100.

Cell and atoms:
```
data_FeTc2Ag
_cell_length_a 3.051
_cell_length_b 4.270
_cell_length_c 9.070
_cell_angle_alpha 90.00
_cell_angle_beta 90.00
_cell_angle_gamma 90.00
_symmetry_space_group_name_H-M 'C m m m'
_symmetry_Int_Tables_number 65
_symmetry_space_group_name_Hall '-C 2 2'
loop_
_atom_site_label
_atom_site_fract_x
_atom_site_fract_y
_atom_site_fract_z
_atom_site_occupancy
Fe1 0.000 0.000 0.000 1
Tc1 0.000 0.500 0.227 1
Ag1 0.000 0.000 0.500 1
```

Main lines, by intensity (2θ = 5–70°):
| 2θ/deg | intensity |
| --- | --- |
| 41.47 | 100 |
| 39.75 | 25 |
| 42.33 | 25 |
| 59.46 | 14 |
| 29.55 | 9 |
| 60.71 | 8 |
| 63.52 | 7 |
| 37.56 | 7 |
| 52.47 | 4 |
| 9.75 | 3 |

Entry 2:
Simulated powder diffractogram
Compound: FeAg2W
Radiation: λ = 1.5418 Å (Cu Kα)
Structure: a DFT-relaxed cell (PBE, Alexandria)
Intensities are scaled so that the largest is 100.

Cell and atoms:
```
data_FeAg2W
_cell_length_a 3.118
_cell_length_b 4.485
_cell_length_c 9.149
_cell_angle_alpha 90.00
_cell_angle_beta 90.00
_cell_angle_gamma 90.00
_symmetry_space_group_name_H-M 'C m m 2'
_symmetry_Int_Tables_number 35
loop_
_symmetry_equiv_pos_as_xyz
'x,y,z'
'-x,-y,z'
'-x,y,z'
'x,-y,z'
'x+1/2,y+1/2,z'
'-x+1/2,-y+1/2,z'
'-x+1/2,y+1/2,z'
'x+1/2,-y+1/2,z'
loop_
_atom_site_label
_atom_site_fract_x
_atom_site_fract_y
_atom_site_fract_z
_atom_site_occupancy
Fe1 0.000 0.000 0.000 1
Ag1 0.000 0.000 0.516 1
Ag2 0.000 0.500 0.247 1
W1 0.000 0.500 0.785 1
```

Main lines, by intensity (2θ = 5–70°):
| 2θ/deg | intensity |
| --- | --- |
| 40.37 | 100 |
| 40.21 | 26 |
| 39.40 | 24 |
| 9.67 | 19 |
| 57.56 | 15 |
| 19.40 | 10 |
| 59.27 | 8 |
| 29.29 | 8 |
| 36.44 | 8 |
| 62.38 | 7 |

Entry 3:
Simulated powder diffractogram
Compound: ZnFe2Ag
Radiation: λ = 1.5418 Å (Cu Kα)
Structure: a DFT-relaxed cell (PBE, Alexandria)
Intensities are scaled so that the largest is 100.

Cell and atoms:
```
data_ZnFe2Ag
_cell_length_a 2.685
_cell_length_b 3.856
_cell_length_c 5.371
_cell_angle_alpha 90.00
_cell_angle_beta 90.51
_cell_angle_gamma 90.00
_symmetry_space_group_name_H-M 'P 1 2/m 1'
_symmetry_Int_Tables_number 10
loop_
_symmetry_equiv_pos_as_xyz
'x,y,z'
'-x,-y,-z'
'-x,y,-z'
'x,-y,z'
loop_
_atom_site_label
_atom_site_fract_x
_atom_site_fract_y
_atom_site_fract_z
_atom_site_occupancy
Zn1 0.000 0.000 0.000 1
Fe1 0.498 0.500 0.229 1
Ag1 0.000 0.000 0.500 1
```

Main lines, by intensity (2θ = 5–70°):
| 2θ/deg | intensity |
| --- | --- |
| 40.96 | 100 |
| 47.14 | 17 |
| 47.69 | 16 |
| 48.14 | 15 |
| 69.30 | 9 |
| 69.67 | 9 |
| 23.07 | 5 |
| 28.50 | 5 |
| 33.37 | 5 |
| 58.98 | 2 |

Entry 4:
Simulated powder diffractogram
Compound: ZnFe2Ag
Radiation: λ = 1.5418 Å (Cu Kα)
Structure: a DFT-relaxed cell (PBE, Alexandria)
Intensities are scaled so that the largest is 100.

Cell and atoms:
```
data_ZnFe2Ag
_cell_length_a 3.260
_cell_length_b 4.177
_cell_length_c 8.247
_cell_angle_alpha 90.00
_cell_angle_beta 90.00
_cell_angle_gamma 90.00
_symmetry_space_group_name_H-M 'C m m 2'
_symmetry_Int_Tables_number 35
loop_
_symmetry_equiv_pos_as_xyz
'x,y,z'
'-x,-y,z'
'-x,y,z'
'x,-y,z'
'x+1/2,y+1/2,z'
'-x+1/2,-y+1/2,z'
'-x+1/2,y+1/2,z'
'x+1/2,-y+1/2,z'
loop_
_atom_site_label
_atom_site_fract_x
_atom_site_fract_y
_atom_site_fract_z
_atom_site_occupancy
Zn1 0.000 0.000 0.000 1
Fe1 0.000 0.000 0.456 1
Fe2 0.000 0.500 0.238 1
Ag1 0.000 0.500 0.725 1
```

Main lines, by intensity (2θ = 5–70°):
| 2θ/deg | intensity |
| --- | --- |
| 41.40 | 100 |
| 43.32 | 23 |
| 43.91 | 19 |
| 63.39 | 12 |
| 56.45 | 10 |
| 36.62 | 9 |
| 10.73 | 8 |
| 32.57 | 7 |
| 67.47 | 5 |
| 21.55 | 3 |

Entry 5:
Simulated powder diffractogram
Compound: ZnFe2Ag
Radiation: λ = 1.5418 Å (Cu Kα)
Structure: a DFT-relaxed cell (PBE, Alexandria)
Intensities are scaled so that the largest is 100.

Cell and atoms:
```
data_ZnFe2Ag
_cell_length_a 3.713
_cell_length_b 3.713
_cell_length_c 8.055
_cell_angle_alpha 90.00
_cell_angle_beta 90.00
_cell_angle_gamma 90.00
_symmetry_space_group_name_H-M 'I 4/m m m'
_symmetry_Int_Tables_number 139
_symmetry_space_group_name_Hall '-I 4 2'
loop_
_atom_site_label
_atom_site_fract_x
_atom_site_fract_y
_atom_site_fract_z
_atom_site_occupancy
Zn1 0.000 0.000 0.000 1
Fe1 0.000 0.500 0.250 1
Ag1 0.000 0.000 0.500 1
```

Main lines, by intensity (2θ = 5–70°):
| 2θ/deg | intensity |
| --- | --- |
| 41.04 | 100 |
| 49.07 | 29 |
| 68.78 | 20 |
| 45.02 | 19 |
| 26.43 | 6 |
| 22.07 | 6 |
| 34.15 | 4 |
| 54.42 | 2 |
| 57.69 | 2 |
| 41.50 | 2 |

Entry 6:
Simulated powder diffractogram
Compound: Ga5Ag3
Radiation: λ = 1.5418 Å (Cu Kα)
Structure: a DFT-relaxed cell (PBE, Alexandria)
Intensities are scaled so that the largest is 100.

Cell and atoms:
```
data_Ga5Ag3
_cell_length_a 2.937
_cell_length_b 4.497
_cell_length_c 22.520
_cell_angle_alpha 90.00
_cell_angle_beta 90.00
_cell_angle_gamma 90.00
_symmetry_space_group_name_H-M 'I m m 2'
_symmetry_Int_Tables_number 44
loop_
_symmetry_equiv_pos_as_xyz
'x,y,z'
'-x,-y,z'
'-x,y,z'
'x,-y,z'
'x+1/2,y+1/2,z+1/2'
'-x+1/2,-y+1/2,z+1/2'
'-x+1/2,y+1/2,z+1/2'
'x+1/2,-y+1/2,z+1/2'
loop_
_atom_site_label
_atom_site_fract_x
_atom_site_fract_y
_atom_site_fract_z
_atom_site_occupancy
Ga1 0.000 0.000 0.000 1
Ga2 0.000 0.000 0.230 1
Ga3 0.000 0.500 0.150 1
Ga4 0.000 0.500 0.605 1
Ga5 0.000 0.500 0.852 1
Ag1 0.000 0.000 0.474 1
Ag2 0.000 0.000 0.770 1
Ag3 0.000 0.500 0.385 1
```

Main lines, by intensity (2θ = 5–70°):
| 2θ/deg | intensity |
| --- | --- |
| 40.04 | 100 |
| 41.29 | 21 |
| 7.85 | 17 |
| 31.79 | 15 |
| 34.27 | 11 |
| 62.22 | 10 |
| 36.53 | 9 |
| 52.06 | 7 |
| 63.34 | 6 |
| 55.36 | 6 |